# 1
# TbPr6Sm5
Calculated powder XRD pattern, λ = 1.5418 Å (Cu Kα). Input: a structure optimized by DFT (PBE).

Crystal structure
Unit cell a=6.3660 b=6.3660 c=12.0931 alpha=95.04 beta=95.04 gamma=120.02
Positions (direct):
Tb: 0.0000 0.0000 0.0000
Pr: 0.0827 0.4155 0.2494
Pr: 0.2501 0.2501 0.7507
Pr: 0.4155 0.0827 0.2494
Pr: 0.5845 0.9173 0.7506
Pr: 0.7499 0.7499 0.2493
Pr: 0.9173 0.5845 0.7506
Sm: 0.1665 0.8335 0.5000
Sm: 0.3332 0.6668 0.0000
Sm: 0.5000 0.5000 0.5000
Sm: 0.6668 0.3332 0.0000
Sm: 0.8335 0.1665 0.5000

Principal peaks in the range 2θ = 5–70°, low angle first:
d 2.998, rel. 100.0
d 2.976, rel. 32.7
d 2.592, rel. 67.3
d 1.838, rel. 24.3
d 1.828, rel. 23.9
d 1.564, rel. 28.8



# 2
# Th2Zr3
Calculated powder XRD pattern, λ = 1.5418 Å (Cu Kα). Input: a structure optimized by DFT (PBE).

Crystal structure
Unit cell a=6.4597 b=6.4597 c=6.4597 alpha=87.62 beta=87.62 gamma=87.62
Positions (direct):
Th: 0.1250 0.1250 0.1250
Th: 0.3750 0.3750 0.3750
Th: 0.6250 0.6250 0.6250
Th: 0.8750 0.8750 0.8750
Zr: 0.0846 0.7500 0.4154
Zr: 0.2500 0.5846 0.9154
Zr: 0.4154 0.0846 0.7500
Zr: 0.5846 0.9154 0.2500
Zr: 0.7500 0.4154 0.0846
Zr: 0.9154 0.2500 0.5846

Principal peaks in the range 2θ = 5–70°, low angle first:
d 4.472, rel. 68.3
d 2.931, rel. 31.9
d 2.725, rel. 43.9
d 2.582, rel. 100.0
d 2.327, rel. 28.0
d 2.064, rel. 40.0



# 3
# Mg2VB10
Calculated powder XRD pattern, λ = 1.5418 Å (Cu Kα). Input: a structure optimized by DFT (PBE).

Crystal structure
Unit cell a=4.9183 b=12.4743 c=4.1808 alpha=90.00 beta=90.00 gamma=90.00
Positions (direct):
Mg: 0.2279 0.1590 0.0000
Mg: 0.2721 0.6590 0.0000
Mg: 0.7279 0.3410 0.0000
Mg: 0.7721 0.8410 0.0000
V: 0.0000 0.5000 0.5000
V: 0.5000 0.0000 0.5000
B: 0.0312 0.3185 0.5000
B: 0.0685 0.9388 0.5000
B: 0.1268 0.7993 0.5000
B: 0.2301 0.3753 0.1984
B: 0.2301 0.3753 0.8016
B: 0.2699 0.8753 0.1984
B: 0.2699 0.8753 0.8016
B: 0.3732 0.2993 0.5000
B: 0.4315 0.4388 0.5000
B: 0.4688 0.8185 0.5000
B: 0.5312 0.1815 0.5000
B: 0.5685 0.5612 0.5000
B: 0.6268 0.7007 0.5000
B: 0.7301 0.1247 0.1984
B: 0.7301 0.1247 0.8016
B: 0.7699 0.6247 0.1984
B: 0.7699 0.6247 0.8016
B: 0.8732 0.2007 0.5000
B: 0.9315 0.0612 0.5000
B: 0.9688 0.6815 0.5000

Principal peaks in the range 2θ = 5–70°, low angle first:
d 4.575, rel. 68.0
d 3.473, rel. 80.9
d 3.086, rel. 61.4
d 2.837, rel. 68.9
d 2.500, rel. 90.5
d 2.120, rel. 100.0



Copy entry 2 word for word.
# Th2Zr3
Calculated powder XRD pattern, λ = 1.5418 Å (Cu Kα). Input: a structure optimized by DFT (PBE).

Crystal structure
Unit cell a=6.4597 b=6.4597 c=6.4597 alpha=87.62 beta=87.62 gamma=87.62
Positions (direct):
Th: 0.1250 0.1250 0.1250
Th: 0.3750 0.3750 0.3750
Th: 0.6250 0.6250 0.6250
Th: 0.8750 0.8750 0.8750
Zr: 0.0846 0.7500 0.4154
Zr: 0.2500 0.5846 0.9154
Zr: 0.4154 0.0846 0.7500
Zr: 0.5846 0.9154 0.2500
Zr: 0.7500 0.4154 0.0846
Zr: 0.9154 0.2500 0.5846

Principal peaks in the range 2θ = 5–70°, low angle first:
d 4.472, rel. 68.3
d 2.931, rel. 31.9
d 2.725, rel. 43.9
d 2.582, rel. 100.0
d 2.327, rel. 28.0
d 2.064, rel. 40.0